No. 1
Structure and calculated PXRD pattern of BePNO4 (the GGA-PBE geometry in the Materials Project; Cu Ka).

a = 8.769 Å, b = 8.634 Å, c = 5.048 Å
α = 90.00°, β = 90.00°, γ = 90.00°
Space group Pna2_1 (No. 33)
Inequivalent atoms, fractional coordinates:
Be  0.177  0.096  0.000 x4
P  0.180  0.916  0.500 x4
N  0.003  0.316  0.512 x4
O  0.007  0.888  0.512 x4
O  0.221  0.043  0.701 x4
O  0.224  0.967  0.218 x4
O  0.242  0.265  0.073 x4

Principal peaks in the range 5 to 70 degrees two-theta, by angle:
| 2θ (°) | I/Imax | hkl |
| --- | --- | --- |
| 14.40 | 100 | 1 1 0 |
| 20.25 | 53 | 2 0 0 |
| 20.38 | 56 | 0 1 1 |
| 22.78 | 47 | 1 1 1 |
| 28.89 | 34 | 2 1 1 |
| 29.05 | 93 | 1 2 1 |
| 32.33 | 26 | 3 1 0 |
| 35.57 | 21 | 0 0 2 |
| 35.92 | 24 | 0 3 1 |
| 41.21 | 24 | 4 0 0 |


No. 2
Structure and calculated PXRD pattern of BeSiN2 (the GGA-PBE geometry in the Materials Project; Cu Ka).

a = 2.8936 Å, b = 2.8936 Å, c = 4.7133 Å
α = 90.00°, β = 90.00°, γ = 120.00°
Space group P3m1 (No. 156)
Inequivalent atoms, fractional coordinates:
Be  0.0000  0.0000  0.0000 x1
Si  0.3333  0.6667  0.4625 x1
N  0.0000  0.0000  0.6060 x1
N  0.3333  0.6667  0.1049 x1

Principal peaks in the range 5 to 70 degrees two-theta, by angle:
| 2θ (°) | I/Imax | hkl |
| --- | --- | --- |
| 18.83 | 70 | 0 0 1 |
| 35.83 | 100 | 1 0 0 |
| 38.19 | 33 | 0 0 2 |
| 40.78 | 66 | 1 0 1 |
| 53.37 | 35 | 1 0 2 |
| 58.77 | 3 | 0 0 3 |
| 64.40 | 39 | 1 1 0 |
| 67.75 | 11 | 1 1 1 |


No. 3
Structure and calculated PXRD pattern of Na3Be (the GGA-PBE geometry in the Materials Project; Cu Ka).

a = 4.669 Å, b = 4.669 Å, c = 9.473 Å
α = 90.00°, β = 90.00°, γ = 90.00°
Space group I4/mmm (No. 139)
Inequivalent atoms, fractional coordinates:
Na  0.000  0.000  0.000 x2
Na  0.000  0.500  0.250 x4
Be  0.000  0.000  0.500 x2

Principal peaks in the range 5 to 70 degrees two-theta, by angle:
| 2θ (°) | I/Imax | hkl |
| --- | --- | --- |
| 21.22 | 15 | 1 0 1 |
| 33.08 | 100 | 1 1 2 |
| 34.28 | 5 | 1 0 3 |
| 37.99 | 17 | 0 0 4 |
| 38.57 | 32 | 2 0 0 |
| 55.25 | 21 | 2 0 4 |
| 55.69 | 10 | 2 2 0 |
| 65.54 | 11 | 1 1 6 |
| 66.32 | 22 | 3 1 2 |
| 69.40 | 9 | 2 2 4 |